The following is a calculated powder diffraction line list of Li4CaGa12. It was derived from a GGA-PBE-relaxed structure, using Cu Kα, 1.54184 Å.
Kinematic intensities with the Lorentz-polarization factor, no thermal factor.

Principal peaks in the range 2θ = 5–70°, by intensity:
2θ 31.98, I = 100, (3 1 0)
2θ 52.74, I = 38, (4 1 3)
2θ 38.04, I = 29, (3 2 1)
2θ 63.01, I = 15, (6 0 0)
2θ 45.85, I = 8, (4 2 0)
2θ 48.23, I = 7, (3 3 2)
2θ 20.06, I = 7, (2 0 0)
2θ 14.15, I = 6, (1 1 0)
2θ 61.05, I = 6, (5 0 3)
2θ 50.52, I = 6, (4 2 2)

Crystal structure
```
data_Li4CaGa12
_space_group_name_H-M_alt 'I m -3'
_space_group_IT_number 204
_space_group_name_Hall '-I 2 2 3'
_cell_length_a 8.851
_cell_length_b 8.851
_cell_length_c 8.851
_cell_angle_alpha 90.00
_cell_angle_beta 90.00
_cell_angle_gamma 90.00
loop_
_atom_site_label
_atom_site_type_symbol
_atom_site_fract_x
_atom_site_fract_y
_atom_site_fract_z
Li1 Li 0.250 0.250 0.250
Ca1 Ca 0.000 0.000 0.000
Ga1 Ga 0.000 0.151 0.354
```

---

The following is a calculated powder diffraction line list of Na2SrPmF8. It was derived from a GGA-PBE-relaxed structure, using Cu Kα, 1.54184 Å.
Kinematic intensities with the Lorentz-polarization factor, no thermal factor.

Principal peaks in the range 2θ = 5–70°, by intensity:
2θ 27.21, I = 100, (1 1 2)
2θ 17.52, I = 73, (1 0 1)
2θ 45.00, I = 58, (2 0 4)
2θ 53.85, I = 37, (3 1 2)
2θ 45.52, I = 28, (2 2 0)
2θ 28.11, I = 20, (1 0 3)
2θ 36.49, I = 20, (2 1 1)
2θ 52.93, I = 15, (1 1 6)
2θ 42.92, I = 15, (2 1 3)
2θ 66.33, I = 8, (4 0 0)

Crystal structure
```
data_Na2SrPmF8
_space_group_name_H-M_alt 'I -4 m 2'
_space_group_IT_number 119
_space_group_name_Hall 'I -4 -2'
_cell_length_a 5.637
_cell_length_b 5.637
_cell_length_c 11.522
_cell_angle_alpha 90.00
_cell_angle_beta 90.00
_cell_angle_gamma 90.00
loop_
_atom_site_label
_atom_site_type_symbol
_atom_site_fract_x
_atom_site_fract_y
_atom_site_fract_z
Na1 Na 0.000 0.000 0.000
Na2 Na 0.000 0.500 0.250
Sr1 Sr 0.000 0.000 0.500
Pm1 Pm 0.000 0.500 0.750
F1 F 0.240 0.258 0.870
```

---

The following is a calculated powder diffraction line list of AlCu3S4. It was derived from a GGA-PBE-relaxed structure, using Cu Kα, 1.54184 Å.
Kinematic intensities with the Lorentz-polarization factor, no thermal factor.

Principal peaks in the range 2θ = 5–70°, by intensity:
2θ 29.35, I = 100, (1 1 2)
2θ 48.77, I = 41, (2 0 4)
2θ 58.23, I = 25, (3 1 2)
2θ 49.09, I = 20, (2 2 0)
2θ 57.65, I = 13, (1 1 6)
2θ 18.86, I = 7, (1 0 1)
2θ 34.17, I = 5, (2 0 0)
2θ 33.72, I = 2, (0 0 4)
2θ 30.44, I = 2, (1 0 3)
2θ 39.31, I = 2, (2 1 1)

Crystal structure
```
data_AlCu3S4
_space_group_name_H-M_alt 'I -4 2 m'
_space_group_IT_number 121
_space_group_name_Hall 'I -4 2'
_cell_length_a 5.249
_cell_length_b 5.249
_cell_length_c 10.631
_cell_angle_alpha 90.00
_cell_angle_beta 90.00
_cell_angle_gamma 90.00
loop_
_atom_site_label
_atom_site_type_symbol
_atom_site_fract_x
_atom_site_fract_y
_atom_site_fract_z
Al1 Al 0.000 0.000 0.000
Cu1 Cu 0.000 0.000 0.500
Cu2 Cu 0.000 0.500 0.250
S1 S 0.250 0.250 0.375
```